# NaAc2CoO6
Computed powder diffractogram, Cu Kα (λ = 1.5418 Å). Input: a structure optimized by DFT (PBE+U).
Neutral-atom scattering factors, no anomalous dispersion.

Top 10 peaks for 10° ≤ 2θ ≤ 90°, in order of falling intensity:
(1 1 1), 2θ 30.48, d = 2.933 Å, I 1000
(2 0 0), 2θ 31.76, d = 2.817 Å, I 447
(1 1 0), 2θ 22.31, d = 3.984 Å, I 422
(2 0 1), 2θ 38.10, d = 2.362 Å, I 413
(3 1 1), 2θ 55.79, d = 1.648 Å, I 373
(0 0 1), 2θ 20.50, d = 4.332 Å, I 297
(2 2 0), 2θ 45.54, d = 1.992 Å, I 254
(2 0 2), 2θ 53.35, d = 1.717 Å, I 234
(1 1 2), 2θ 47.79, d = 1.903 Å, I 160
(2 2 2), 2θ 63.44, d = 1.466 Å, I 145

Atomic structure:
abc: 5.634 5.634 4.332
angles: 90.00 90.00 90.00
Space group P4mm (No. 99)
Inequivalent atoms, fractional coordinates:
Na1 0.000 0.000 0.000 (multiplicity 1)
Ac1 0.000 0.500 0.456 (multiplicity 2)
Co1 0.500 0.500 0.000 (multiplicity 1)
O1 0.000 0.000 0.510 (multiplicity 1)
O2 0.275 0.275 0.080 (multiplicity 4)
O3 0.500 0.500 0.593 (multiplicity 1)